1.
Structure and computed XRD peak list of Tl2GaSn (a PBE-relaxed structure; Cu Kα).

Top 12 peaks for 2θ = 10–90°, sorted by position:
d/Å	I (rel.)	hkl
3.215	61	1 1 -1
3.186	34	1 0 -2
2.940	62	0 1 2
2.908	51	1 1 1
2.859	52	1 -2 0
2.728	100	1 -1 2
2.718	27	2 -1 0
2.670	78	0 2 -1
2.648	46	-2 1 1
2.633	35	2 0 0
2.364	24	2 0 1
2.306	39	1 0 -3

Structure:
Cell: 5.570 5.887 7.250 Å, 91.15 97.61 107.12°
Space group P-1 (No. 2)
Unique sites:
Tl: 0.007 0.251 0.126
Tl: 0.424 0.921 0.259
Ga: 0.000 0.000 0.500
Ga: 0.500 0.500 0.000
Sn: 0.272 0.492 0.604

2.
Structure and computed XRD peak list of TbYGaPt (a PBE-relaxed structure; Cu Kα).

Top 12 peaks for 2θ = 10–90°, sorted by position:
d/Å	I (rel.)	hkl
5.500	38	0 0 2
2.788	100	1 1 1
2.750	22	0 0 4
2.637	25	0 1 3
2.336	31	1 0 4
2.266	66	1 1 3
2.215	28	2 0 0
1.898	18	0 2 0
1.695	22	1 0 6
1.473	14	1 2 4
1.441	14	2 2 0
1.214	16	2 1 7

Structure:
Cell: 4.430 3.796 11.000 Å, 90.00 90.00 90.00°
Space group Amm2 (No. 38)
Unique sites:
Tb: 0.000 0.000 0.000
Y: 0.500 0.000 0.716
Ga: 0.000 0.000 0.281
Pt: 0.500 0.000 0.436

3.
Structure and computed XRD peak list of Mg2InAs (a PBE-relaxed structure; Cu Kα).

Top 12 peaks for 2θ = 10–90°, sorted by position:
d/Å	I (rel.)	hkl
3.898	51	0 1 1
3.536	23	1 0 1
3.039	25	0 0 4
2.887	18	0 1 3
2.731	38	1 0 3
2.505	100	1 1 2
2.093	21	0 1 5
2.058	17	0 2 0
1.848	12	2 0 0
1.643	16	1 2 3
1.385	11	2 1 5
1.258	11	1 3 2

Structure:
Cell: 3.696 4.115 12.157 Å, 90.00 90.00 90.00°
Space group Imm2 (No. 44)
Unique sites:
Mg: 0.000 0.000 0.000
Mg: 0.000 0.500 0.198
In: 0.000 0.500 0.811
As: 0.000 0.000 0.525

4.
Structure and computed XRD peak list of Rb2AsAuSe4 (a PBE-relaxed structure; Cu Kα).

Top 12 peaks for 2θ = 10–90°, sorted by position:
d/Å	I (rel.)	hkl
6.250	100	0 0 4
5.859	89	0 2 2
3.663	50	1 3 1
3.528	70	0 2 6
3.384	32	1 3 3
3.018	43	2 2 0
2.976	94	1 3 5
2.629	61	2 0 6
2.328	38	2 4 2
2.012	39	2 0 10
1.953	30	0 6 6
1.851	33	2 6 0

Structure:
Cell: 6.778 13.262 24.999 Å, 90.00 90.00 90.00°
Space group Fddd (No. 70, origin choice 2)
Unique sites:
Rb: 0.125 0.125 0.307
As: 0.125 0.125 0.625
Au: 0.125 0.125 0.125
Se: 0.086 0.272 0.823

5.
Structure and computed XRD peak list of CdPIN2 (a PBE-relaxed structure; Cu Kα).

Top 12 peaks for 2θ = 10–90°, sorted by position:
d/Å	I (rel.)	hkl
6.809	100	0 0 1
3.404	59	0 0 2
2.679	40	1 1 0
2.493	62	1 1 1
2.105	40	1 1 2
1.894	21	2 0 0
1.825	15	2 0 1
1.732	20	1 1 3
1.655	26	2 0 2
1.437	12	1 1 4
1.180	11	3 1 1
1.130	11	3 1 2

Structure:
Cell: 3.788 3.788 6.809 Å, 90.00 90.00 90.00°
Space group P4/mmm (No. 123)
Unique sites:
Cd: 0.000 0.000 0.000
P: 0.500 0.500 0.500
I: 0.500 0.500 0.000
N: 0.000 0.500 0.500

6.
Structure and computed XRD peak list of TaHg12F7 (a PBE-relaxed structure; Cu Kα).

Top 12 peaks for 2θ = 10–90°, sorted by position:
d/Å	I (rel.)	hkl
3.220	29	3 3 0
3.149	100	1 3 1
2.860	33	3 2 1
2.788	16	6 0 0
2.679	38	5 2 0
2.638	32	0 5 1
2.461	51	5 1 1
2.077	26	2 0 2
1.859	19	9 0 0
1.752	15	4 6 1
1.596	25	0 7 2
1.306	16	3 3 3

Structure:
Cell: 19.3181 19.3181 4.2880 Å, 90.00 90.00 120.00°
Space group R-3m (No. 166, hexagonal axes)
Unique sites:
Ta: 0.0000 0.0000 0.0000
Hg: 0.0000 0.4155 0.5000
Hg: 0.1083 0.5542 0.0014
F: 0.0000 0.0000 0.5000
F: 0.0564 0.1128 0.8292

7.
Structure and computed XRD peak list of PmPr4Ho15 (a PBE-relaxed structure; Cu Kα).

Top 12 peaks for 2θ = 10–90°, sorted by position:
d/Å	I (rel.)	hkl
2.913	100	1 1 5
2.528	34	2 0 0
2.513	17	0 0 10
1.787	12	2 2 0
1.782	24	2 0 10
1.523	29	3 1 5
1.517	14	1 1 15
1.456	12	2 2 10
1.159	6	3 3 5
1.157	12	3 1 15
1.130	6	4 2 0
1.129	6	4 0 10

Structure:
Cell: 5.055 5.055 25.128 Å, 90.00 90.00 90.00°
Space group P4/mmm (No. 123)
Unique sites:
Pm: 0.000 0.000 0.000
Pr: 0.000 0.000 0.200
Pr: 0.000 0.000 0.400
Ho: 0.000 0.500 0.099
Ho: 0.000 0.500 0.300
Ho: 0.000 0.500 0.500
Ho: 0.500 0.500 0.000
Ho: 0.500 0.500 0.200
Ho: 0.500 0.500 0.400

8.
Structure and computed XRD peak list of K3In3SnSe8 (a PBE-relaxed structure; Cu Kα).

Top 12 peaks for 2θ = 10–90°, sorted by position:
d/Å	I (rel.)	hkl
7.878	73	0 0 1
3.461	8	2 2 -1
3.010	100	4 0 0
2.429	26	4 0 1
2.257	31	2 2 2
2.020	35	0 4 0
1.957	16	6 2 -1
1.831	16	2 2 3
1.677	17	4 4 0
1.505	8	4 4 -4
1.290	14	8 4 -4
1.242	9	6 2 3

Structure:
Cell: 13.986 8.084 9.151 Å, 90.00 120.58 90.00°
Space group C2/m (No. 12)
Unique sites:
K: 0.000 0.000 0.000
K: 0.250 0.250 0.000
In: 0.000 0.500 0.500
In: 0.250 0.250 0.500
Sn: 0.000 0.000 0.500
Se: 0.017 0.246 0.305
Se: 0.229 0.000 0.695
Se: 0.232 0.500 0.695

9.
Structure and computed XRD peak list of Cs3Tl (a PBE-relaxed structure; Cu Kα).

Top 12 peaks for 2θ = 10–90°, sorted by position:
d/Å	I (rel.)	hkl
5.683	22	2 2 0
4.541	21	0 4 0
3.913	100	2 2 1
3.789	53	3 3 0
3.101	20	3 3 1
2.951	45	1 5 1
2.865	26	4 2 1
2.698	22	0 0 2
2.429	19	6 0 0
2.309	19	1 7 1
2.198	24	3 3 2
2.095	25	5 5 1

Structure:
Cell: 14.570 18.166 5.396 Å, 90.00 90.00 90.00°
Space group Cmcm (No. 63)
Unique sites:
Cs: 0.000 0.128 0.250
Cs: 0.177 0.374 0.250
Tl: 0.000 0.458 0.750

10.
Structure and computed XRD peak list of CePd6Pt23 (a PBE-relaxed structure; Cu Kα).

Top 12 peaks for 2θ = 10–90°, sorted by position:
d/Å	I (rel.)	hkl
3.919	3	0 0 4
3.544	8	2 0 2
2.810	3	2 2 0
2.284	100	2 2 4
2.183	2	2 0 6
1.987	33	4 0 0
1.959	16	0 0 8
1.405	11	4 4 0
1.395	21	4 0 8
1.197	25	6 2 4
1.185	12	2 2 12
1.142	11	4 4 8

Structure:
Cell: 7.947 7.947 15.675 Å, 90.00 90.00 90.00°
Space group I4/mmm (No. 139)
Unique sites:
Ce: 0.000 0.000 0.000
Pd: 0.000 0.000 0.247
Pd: 0.249 0.249 0.500
Pt: 0.000 0.000 0.500
Pt: 0.000 0.250 0.372
Pt: 0.000 0.263 0.131
Pt: 0.000 0.500 0.000
Pt: 0.250 0.250 0.250

11.
Structure and computed XRD peak list of CeHoPtAu (a PBE-relaxed structure; Cu Kα).

Top 12 peaks for 2θ = 10–90°, sorted by position:
d/Å	I (rel.)	hkl
2.840	100	1 1 1
2.675	31	0 0 4
2.348	37	2 0 0
2.325	24	1 0 4
2.272	84	1 1 3
1.892	19	0 2 0
1.765	19	2 0 4
1.473	17	2 2 0
1.433	13	3 1 1
1.340	16	3 1 3
1.290	13	2 2 4
1.213	12	2 1 7

Structure:
Cell: 4.696 3.783 10.701 Å, 90.00 90.00 90.00°
Space group Amm2 (No. 38)
Unique sites:
Ce: 0.000 0.000 0.000
Ho: 0.500 0.000 0.725
Pt: 0.000 0.000 0.270
Au: 0.500 0.000 0.450

12.
Structure and computed XRD peak list of Y3Ga2Ir (a PBE-relaxed structure; Cu Kα).

Top 12 peaks for 2θ = 10–90°, sorted by position:
d/Å	I (rel.)	hkl
8.149	76	1 0 1
5.247	52	2 0 1
5.066	41	1 0 2
2.957	25	2 1 2
2.819	100	0 1 3
2.584	96	3 1 2
2.387	75	4 1 1
2.324	24	5 0 1
2.299	39	3 1 3
2.183	68	2 1 4
2.150	62	0 2 0
1.950	46	3 0 5

Structure:
Cell: 11.877 4.299 11.202 Å, 90.00 90.00 90.00°
Space group Pnma (No. 62)
Unique sites:
Y: 0.050 0.250 0.125
Y: 0.117 0.750 0.559
Y: 0.229 0.250 0.802
Ga: 0.010 0.750 0.304
Ga: 0.193 0.750 0.006
Ir: 0.123 0.250 0.377